V6Ge3C: theoretical X-ray diffraction stick pattern (a wavelength of 1.5418 Å), based on a structure optimized by DFT (PBE).
Kinematic intensities with the Lorentz-polarization factor, no thermal factor.

Main lines, low angle first (5 to 70 degrees two-theta):
- 37.9 deg, d 2.375, rel. 70.1
- 38.1 deg, d 2.361, rel. 62.7
- 40.0 deg, d 2.253, rel. 70.3
- 44.2 deg, d 2.051, rel. 100.0
- 48.1 deg, d 1.892, rel. 51.8
- 57.5 deg, d 1.602, rel. 43.7

Cell lengths 5.520, 5.520, 6.794 Å; angles 118.98, 118.98, 56.11 degrees
Sites, in units of the cell vectors:
1 V 0.151 0.659 0.623
2 V 0.212 0.212 0.813
3 V 0.341 0.849 0.377
4 V 0.659 0.151 0.623
5 V 0.788 0.788 0.187
6 V 0.849 0.341 0.377
7 Ge 0.255 0.255 0.216
8 Ge 0.500 0.500 0.000
9 Ge 0.745 0.745 0.784
10 C 0.000 0.000 0.500

YGeC: theoretical X-ray diffraction stick pattern (a wavelength of 1.5418 Å), based on a structure optimized by DFT (PBE).
Kinematic intensities with the Lorentz-polarization factor, no thermal factor.

Main lines, low angle first (5 to 70 degrees two-theta):
- 26.7 deg, d 3.333, rel. 26.3
- 31.5 deg, d 2.840, rel. 34.7
- 31.7 deg, d 2.819, rel. 41.9
- 33.0 deg, d 2.712, rel. 100.0
- 38.1 deg, d 2.362, rel. 25.6
- 41.2 deg, d 2.190, rel. 50.4

Cell lengths 4.460, 4.460, 7.788 Å; angles 112.06, 112.06, 50.29 degrees
Sites, in units of the cell vectors:
1 Y 0.077 0.077 0.311
2 Y 0.923 0.923 0.689
3 Ge 0.337 0.337 0.970
4 Ge 0.663 0.663 0.030
5 C 0.410 0.410 0.461
6 C 0.590 0.590 0.539

Y4Ge2C: theoretical X-ray diffraction stick pattern (a wavelength of 1.5418 Å), based on a structure optimized by DFT (PBE).
Kinematic intensities with the Lorentz-polarization factor, no thermal factor.

Main lines, low angle first (5 to 70 degrees two-theta):
- 28.8 deg, d 3.096, rel. 63.7
- 29.5 deg, d 3.026, rel. 66.9
- 35.6 deg, d 2.519, rel. 68.6
- 36.2 deg, d 2.481, rel. 71.7
- 38.0 deg, d 2.370, rel. 100.0
- 53.2 deg, d 1.721, rel. 53.7

Cell lengths 8.205, 8.205, 6.796 Å; angles 90.00, 90.00, 132.48 degrees
Sites, in units of the cell vectors:
1 Y 0.169 0.831 0.955
2 Y 0.238 0.262 0.750
3 Y 0.262 0.238 0.250
4 Y 0.331 0.669 0.455
5 Y 0.669 0.331 0.545
6 Y 0.738 0.762 0.750
7 Y 0.762 0.738 0.250
8 Y 0.831 0.169 0.045
9 Ge 0.136 0.864 0.519
10 Ge 0.364 0.636 0.019
11 Ge 0.636 0.364 0.981
12 Ge 0.864 0.136 0.481
13 C 0.000 0.000 0.000
14 C 0.500 0.500 0.500

Zr7Ge2C2: theoretical X-ray diffraction stick pattern (a wavelength of 1.5418 Å), based on a structure optimized by DFT (PBE).
Kinematic intensities with the Lorentz-polarization factor, no thermal factor.

Main lines, low angle first (5 to 70 degrees two-theta):
- 15.2 deg, d 5.847, rel. 45.6
- 30.6 deg, d 2.924, rel. 74.4
- 32.6 deg, d 2.746, rel. 54.2
- 34.0 deg, d 2.636, rel. 67.5
- 35.5 deg, d 2.529, rel. 84.2
- 38.2 deg, d 2.356, rel. 100.0

Cell lengths 6.371, 6.371, 6.607 Å; angles 95.76, 95.76, 111.86 degrees
Sites, in units of the cell vectors:
1 Zr 0.000 0.000 0.000
2 Zr 0.076 0.487 0.793
3 Zr 0.415 0.415 0.209
4 Zr 0.487 0.076 0.793
5 Zr 0.513 0.924 0.207
6 Zr 0.585 0.585 0.791
7 Zr 0.924 0.513 0.207
8 Ge 0.305 0.695 0.500
9 Ge 0.695 0.305 0.500
10 C 0.285 0.285 0.871
11 C 0.715 0.715 0.129

Hf8HC3N4: theoretical X-ray diffraction stick pattern (a wavelength of 1.5418 Å), based on a structure optimized by DFT (PBE).
Kinematic intensities with the Lorentz-polarization factor, no thermal factor.

Main lines, low angle first (5 to 70 degrees two-theta):
- 33.8 deg, d 2.653, rel. 33.6
- 33.9 deg, d 2.645, rel. 100.0
- 39.3 deg, d 2.293, rel. 85.6
- 56.7 deg, d 1.623, rel. 29.0
- 56.9 deg, d 1.619, rel. 28.7
- 67.8 deg, d 1.382, rel. 42.1

Cell lengths 6.492, 6.492, 6.492 Å; angles 59.86, 59.86, 59.86 degrees
Sites, in units of the cell vectors:
1 Hf 0.243 0.756 0.756
2 Hf 0.244 0.244 0.757
3 Hf 0.244 0.757 0.244
4 Hf 0.248 0.248 0.248
5 Hf 0.752 0.752 0.752
6 Hf 0.756 0.243 0.756
7 Hf 0.756 0.756 0.243
8 Hf 0.757 0.244 0.244
9 H 0.500 0.500 0.500
10 C 0.000 0.000 0.500
11 C 0.000 0.500 0.000
12 C 0.500 0.000 0.000
13 N 0.000 0.000 0.000
14 N 0.000 0.500 0.500
15 N 0.500 0.000 0.500
16 N 0.500 0.500 0.000

Ho2H4CO7: theoretical X-ray diffraction stick pattern (a wavelength of 1.5418 Å), based on a structure optimized by DFT (PBE).
Kinematic intensities with the Lorentz-polarization factor, no thermal factor.

Main lines, low angle first (5 to 70 degrees two-theta):
- 14.2 deg, d 6.256, rel. 100.0
- 20.5 deg, d 4.335, rel. 26.2
- 27.4 deg, d 3.250, rel. 58.8
- 29.6 deg, d 3.019, rel. 29.2
- 32.3 deg, d 2.775, rel. 25.2
- 33.1 deg, d 2.710, rel. 22.0

Cell lengths 6.307, 6.012, 15.581 Å; angles 90.00, 97.30, 90.00 degrees
Sites, in units of the cell vectors:
1 Ho 0.081 0.239 0.318
2 Ho 0.081 0.261 0.818
3 Ho 0.086 0.248 0.064
4 Ho 0.086 0.252 0.564
5 Ho 0.914 0.748 0.436
6 Ho 0.914 0.752 0.936
7 Ho 0.919 0.739 0.182
8 Ho 0.919 0.761 0.682
9 H 0.269 0.665 0.080
10 H 0.269 0.835 0.580
11 H 0.313 0.527 0.447
12 H 0.313 0.973 0.947
13 H 0.318 0.002 0.197
14 H 0.318 0.498 0.697
15 H 0.324 0.541 0.214
16 H 0.324 0.959 0.714
17 H 0.676 0.041 0.286
18 H 0.676 0.459 0.786
19 H 0.682 0.502 0.303
20 H 0.682 0.998 0.803
21 H 0.687 0.027 0.053
22 H 0.687 0.473 0.553
23 H 0.731 0.165 0.420
24 H 0.731 0.335 0.920
25 C 0.406 0.575 0.883
26 C 0.406 0.925 0.383
27 C 0.594 0.075 0.617
28 C 0.594 0.425 0.117
29 O 0.118 0.630 0.061
30 O 0.118 0.870 0.561
31 O 0.165 0.033 0.189
32 O 0.165 0.467 0.689
33 O 0.175 0.048 0.948
34 O 0.175 0.452 0.448
35 O 0.188 0.512 0.236
36 O 0.188 0.988 0.736
37 O 0.200 0.607 0.878
38 O 0.200 0.893 0.378
39 O 0.460 0.223 0.586
40 O 0.460 0.277 0.086
41 O 0.461 0.116 0.352
42 O 0.461 0.384 0.852
43 O 0.539 0.616 0.148
44 O 0.539 0.884 0.648
45 O 0.540 0.723 0.914
46 O 0.540 0.777 0.414
47 O 0.800 0.107 0.622
48 O 0.800 0.393 0.122
49 O 0.812 0.012 0.264
50 O 0.812 0.488 0.764
51 O 0.825 0.548 0.552
52 O 0.825 0.952 0.052
53 O 0.835 0.533 0.311
54 O 0.835 0.967 0.811
55 O 0.882 0.130 0.439
56 O 0.882 0.370 0.939

HoPH5CO7: theoretical X-ray diffraction stick pattern (a wavelength of 1.5418 Å), based on a structure optimized by DFT (PBE).
Kinematic intensities with the Lorentz-polarization factor, no thermal factor.

Main lines, low angle first (5 to 70 degrees two-theta):
- 12.5 deg, d 7.074, rel. 100.0
- 13.7 deg, d 6.471, rel. 41.8
- 19.8 deg, d 4.492, rel. 23.0
- 25.2 deg, d 3.537, rel. 21.1
- 27.6 deg, d 3.226, rel. 20.9
- 30.8 deg, d 2.906, rel. 25.4

Cell lengths 6.509, 6.903, 7.604 Å; angles 110.70, 95.61, 90.05 degrees
Sites, in units of the cell vectors:
1 Ho 0.126 0.222 0.437
2 Ho 0.874 0.778 0.563
3 P 0.329 0.744 0.480
4 P 0.671 0.256 0.520
5 H 0.165 0.516 0.818
6 H 0.280 0.322 0.856
7 H 0.380 0.701 0.295
8 H 0.446 0.837 0.063
9 H 0.456 0.242 0.129
10 H 0.544 0.758 0.871
11 H 0.554 0.163 0.937
12 H 0.620 0.299 0.705
13 H 0.720 0.678 0.144
14 H 0.835 0.484 0.182
15 C 0.066 0.908 0.001
16 C 0.934 0.092 0.999
17 O 0.057 0.755 0.846
18 O 0.172 0.926 0.154
19 O 0.179 0.568 0.476
20 O 0.196 0.939 0.535
21 O 0.201 0.369 0.760
22 O 0.428 0.221 0.994
23 O 0.468 0.232 0.393
24 O 0.532 0.768 0.607
25 O 0.572 0.779 0.006
26 O 0.799 0.631 0.240
27 O 0.804 0.061 0.465
28 O 0.821 0.432 0.524
29 O 0.828 0.074 0.846
30 O 0.943 0.245 0.154